(1)
Starting from a DFT-relaxed cell (PBE+U, Alexandria), the powder X-ray diffraction pattern of Li7Mn2Co3O12 was simulated for copper Kα.
Intensities are scaled so that the largest is 100.

Structural model:
Lattice parameters (Å, degrees): 2.9717 7.7427 10.1192 111.04 91.68 96.95
Atoms (fractional coordinates):
Li: 0.0000 0.0000 0.0000
Li: 0.0131 0.0172 0.5276
Li: 0.3209 0.6716 0.3447
Li: 0.3620 0.6867 0.8504
Li: 0.4760 0.9992 0.7717
Li: 0.6305 0.3363 0.6891
Li: 0.6687 0.3371 0.1798
Mn: 0.5027 0.0049 0.2651
Mn: 0.8536 0.6829 0.6021
Co: 0.1447 0.3260 0.9253
Co: 0.1936 0.3424 0.4314
Co: 0.8244 0.6688 0.0942
O: 0.0854 0.1963 0.7427
O: 0.1190 0.1771 0.2367
O: 0.2104 0.5010 0.1197
O: 0.2996 0.5217 0.6252
O: 0.3955 0.8207 0.5610
O: 0.4397 0.8380 0.0645
O: 0.5496 0.1867 0.9713
O: 0.5658 0.1753 0.4688
O: 0.7675 0.5039 0.9024
O: 0.7960 0.5026 0.4003
O: 0.8753 0.8290 0.2933
O: 0.9118 0.8248 0.7919

Principal peaks in the range 2θ from 10° to 80°, by intensity:
| d/Å | Position (°2θ) | intensity |
| --- | --- | --- |
| 4.825 | 18.39 | 100 |
| 2.029 | 44.67 | 52 |
| 2.177 | 41.48 | 34 |
| 2.448 | 36.71 | 22 |
| 2.594 | 34.58 | 19 |
| 1.482 | 62.70 | 16 |
| 7.154 | 12.37 | 10 |
| 1.488 | 62.43 | 8 |
| 1.485 | 62.54 | 8 |
| 2.411 | 37.29 | 7 |

(2)
Starting from a DFT-relaxed cell (PBE+U, Alexandria), the powder X-ray diffraction pattern of LiMn2Co2O8 was simulated for copper Kα.
Intensities are scaled so that the largest is 100.

Structural model:
Lattice parameters (Å, degrees): 5.6975 5.7104 5.7413 119.57 90.25 119.44
Atoms (fractional coordinates):
Li: 0.0000 0.0000 0.0000
Mn: 0.5000 0.0000 0.5000
Mn: 0.5000 0.5000 0.0000
Co: 0.0000 0.0000 0.5000
Co: 0.5000 0.5000 0.5000
O: 0.2632 0.0296 0.7421
O: 0.2638 0.0343 0.2914
O: 0.2649 0.4673 0.7260
O: 0.2850 0.5206 0.2625
O: 0.7150 0.4794 0.7375
O: 0.7351 0.5327 0.2740
O: 0.7362 0.9657 0.7086
O: 0.7368 0.9704 0.2579

Principal peaks in the range 2θ from 10° to 80°, by intensity:
| d/Å | Position (°2θ) | intensity |
| --- | --- | --- |
| 4.684 | 18.95 | 100 |
| 4.659 | 19.05 | 75 |
| 4.721 | 18.80 | 64 |
| 2.045 | 44.30 | 43 |
| 2.026 | 44.72 | 42 |
| 2.018 | 44.93 | 42 |
| 2.452 | 36.64 | 29 |
| 2.437 | 36.88 | 19 |
| 2.444 | 36.77 | 16 |
| 2.469 | 36.39 | 14 |